Mn3Tl3WO8: simulated powder X-ray diffraction pattern (λ = 1.5418 Å (Cu Kα)), based on a crystal structure in Alexandria, relaxed with PBE+U.

Top 10 peaks for 10° ≤ 2θ ≤ 90°, most intense first:
Position (°2θ)  I_rel
36.97  100
33.30  84
16.47  77
27.19  55
49.34  37
30.86  33
64.30  31
57.03  29
57.24  25
69.93  14

Cell and atoms:
```
data_Mn3Tl3WO8
_cell_length_a 11.1856
_cell_length_b 6.4612
_cell_length_c 7.5480
_cell_angle_alpha 90.00
_cell_angle_beta 119.65
_cell_angle_gamma 90.00
_space_group_name_H-M_alt 'C 1 2/m 1'
_space_group_IT_number 12
loop_
_space_group_symop_operation_xyz
'x,y,z'
'-x,-y,-z'
'-x,y,-z'
'x,-y,z'
'x+1/2,y+1/2,z'
'-x+1/2,-y+1/2,-z'
'-x+1/2,y+1/2,-z'
'x+1/2,-y+1/2,z'
loop_
_atom_site_label
_atom_site_type_symbol
_atom_site_fract_x
_atom_site_fract_y
_atom_site_fract_z
Mn1 Mn 0.0000 0.0000 0.0000
Mn2 Mn 0.2500 0.2500 0.0000
Tl1 Tl 0.0000 0.5000 0.5000
Tl2 Tl 0.2500 0.2500 0.5000
W1 W 0.0000 0.5000 0.0000
O1 O 0.0186 0.2794 0.8343
O2 O 0.2025 0.5000 0.1666
O3 O 0.2120 0.0000 0.1336
```